# 1
The following is a theoretical powder diffractogram of ZnSnAs2. It was derived from a structure optimized by DFT (PBE), using a wavelength of 1.5418 Å.
No peak broadening, texture or thermal motion is included.

Cell and atoms:
```
ZnSnAs2
1.0
5.9470 0.0000 0.0000
0.0000 5.9470 0.0000
0.0000 0.0000 11.9317
Zn Sn As
4 4 8
Direct
0.0000 0.0000 0.0000
0.0000 0.5000 0.2500
0.5000 0.0000 0.7500
0.5000 0.5000 0.5000
0.0000 0.0000 0.5000
0.0000 0.5000 0.7500
0.5000 0.0000 0.2500
0.5000 0.5000 0.0000
0.2264 0.7500 0.1250
0.2500 0.2264 0.8750
0.2500 0.2736 0.3750
0.2736 0.7500 0.6250
0.7264 0.2500 0.6250
0.7500 0.7264 0.3750
0.7500 0.7736 0.8750
0.7736 0.2500 0.1250
```

Peak list (6 most intense, 15° ≤ 2θ ≤ 90°, sorted by position)
| 2θ/deg | I (rel.) |
| --- | --- |
| 25.92 | 100 |
| 42.97 | 75 |
| 50.79 | 16 |
| 50.91 | 30 |
| 68.69 | 12 |
| 78.80 | 16 |

=====

# 2
The following is a theoretical powder diffractogram of TlCu2Se2O10. It was derived from a structure optimized by DFT (PBE), using a wavelength of 1.5418 Å.
No peak broadening, texture or thermal motion is included.

Cell and atoms:
```
TlCu2Se2O10
1.0
4.9204 -3.1413 0.0000
4.9204 3.1413 0.0000
-4.4390 0.0000 7.6707
Tl Cu Se O
1 2 2 10
Direct
0.0000 0.0000 0.0000
0.0000 0.5000 0.5000
0.5000 0.0000 0.5000
0.4374 0.4374 0.2314
0.5626 0.5626 0.7686
0.1863 0.1863 0.5434
0.2203 0.6705 0.7103
0.3297 0.3297 0.3276
0.3295 0.7797 0.2897
0.3320 0.3320 0.0179
0.6680 0.6680 0.9821
0.6705 0.2203 0.7103
0.6703 0.6703 0.6724
0.7797 0.3295 0.2897
0.8137 0.8137 0.4566
```

Peak list (6 most intense, 15° ≤ 2θ ≤ 90°, sorted by position)
| 2θ/deg | I (rel.) |
| --- | --- |
| 17.91 | 89 |
| 18.06 | 45 |
| 24.61 | 100 |
| 28.62 | 52 |
| 30.76 | 53 |
| 31.03 | 59 |

=====

# 3
The following is a theoretical powder diffractogram of MoWSeS3. It was derived from a structure optimized by DFT (PBE), using a wavelength of 1.5418 Å.
No peak broadening, texture or thermal motion is included.

Cell and atoms:
```
MoWSeS3
1.0
3.2222 0.0000 0.0000
-1.6111 2.7905 0.0000
0.0000 0.0000 36.3450
Mo W Se S
2 2 2 6
Direct
0.0000 0.0000 0.0000
0.0000 0.0000 0.3757
0.3333 0.6667 0.1879
0.3333 0.6667 0.5636
0.0000 0.0000 0.5164
0.0000 0.0000 0.6110
0.0000 0.0000 0.1450
0.0000 0.0000 0.2308
0.3333 0.6667 0.0427
0.3333 0.6667 0.3331
0.3333 0.6667 0.4184
0.3333 0.6667 0.9573
```

Peak list (6 most intense, 15° ≤ 2θ ≤ 90°, sorted by position)
| 2θ/deg | I (rel.) |
| --- | --- |
| 32.07 | 37 |
| 32.94 | 26 |
| 34.43 | 29 |
| 37.84 | 100 |
| 45.95 | 58 |
| 57.19 | 31 |